The following is a computed X-ray diffraction stick pattern of CsNa3U4S12. It was derived from a crystal structure in Alexandria, relaxed with GGA-PBE, using Cu Kα X-rays.

Peak list (6 most intense, 10 to 90 degrees two-theta, most intense first)
24.81°, I 100
17.47°, I 75
43.68°, I 59
39.71°, I 41
35.37°, I 39
69.26°, I 29

Structural model:
Lattice parameters (Å, degrees): 8.7919 8.7919 8.7919 109.47 109.47 109.47
Positions (direct):
Cs 0.0000 0.0000 0.0000
Na 0.0000 0.5000 0.5000
Na 0.5000 0.0000 0.5000
Na 0.5000 0.5000 0.0000
U 0.0000 0.0000 0.5000
U 0.0000 0.5000 0.0000
U 0.5000 0.0000 0.0000
U 0.5000 0.5000 0.5000
S 0.0910 0.7971 0.2939
S 0.2029 0.2939 0.4968
S 0.2029 0.7061 0.9090
S 0.2939 0.0910 0.7971
S 0.2939 0.4968 0.2029
S 0.4968 0.2029 0.2939
S 0.5032 0.7971 0.7061
S 0.7061 0.5032 0.7971
S 0.7061 0.9090 0.2029
S 0.7971 0.2939 0.0910
S 0.7971 0.7061 0.5032
S 0.9090 0.2029 0.7061